Starting from DFT lattice parameters and positions (PBE), the XRD peak list of YErBiSb was computed for Cu Kα X-rays.

Main lines, low angle first (5° ≤ 2θ ≤ 70°):
| two_theta | d_spacing | I_rel |
| --- | --- | --- |
| 20.1 | 4.418 | 11 |
| 24.7 | 3.607 | 3 |
| 28.6 | 3.124 | 100 |
| 35.2 | 2.550 | 6 |
| 40.9 | 2.209 | 77 |
| 45.9 | 1.976 | 3 |
| 50.6 | 1.803 | 28 |
| 55.0 | 1.670 | 4 |
| 59.2 | 1.562 | 13 |
| 67.0 | 1.397 | 36 |

Atomic structure:
Lattice parameters (Å, degrees): 4.4181 4.4181 6.2460 90.00 90.00 90.00
Element x y z (fractional)
Y (0.0000, 0.0000, 0.0000)
Er (0.5000, 0.5000, 0.5000)
Bi (0.5000, 0.5000, 0.0000)
Sb (0.0000, 0.0000, 0.5000)

Starting from DFT lattice parameters and positions (PBE), the XRD peak list of Cs2In2Bi2As was computed for Cu Kα X-rays.

Main lines, low angle first (5° ≤ 2θ ≤ 70°):
| two_theta | d_spacing | I_rel |
| --- | --- | --- |
| 10.1 | 8.743 | 51 |
| 12.2 | 7.278 | 100 |
| 20.1 | 4.407 | 40 |
| 25.7 | 3.463 | 80 |
| 25.9 | 3.436 | 81 |
| 27.0 | 3.307 | 48 |
| 27.2 | 3.280 | 46 |
| 29.4 | 3.038 | 47 |
| 37.1 | 2.426 | 59 |
| 39.3 | 2.293 | 41 |

Atomic structure:
Lattice parameters (Å, degrees): 4.8528 8.0130 9.5210 102.48 104.75 106.94
Element x y z (fractional)
Cs (0.2293, 0.1914, 0.2556)
Cs (0.7707, 0.8086, 0.7444)
In (0.0225, 0.3329, 0.7056)
In (0.9775, 0.6671, 0.2944)
Bi (0.3566, 0.6443, 0.0740)
Bi (0.6434, 0.3557, 0.9260)
As (0.0000, 0.5000, 0.5000)

Starting from DFT lattice parameters and positions (PBE), the XRD peak list of Nd3Be2Pd5 was computed for Cu Kα X-rays.

Main lines, low angle first (5° ≤ 2θ ≤ 70°):
| two_theta | d_spacing | I_rel |
| --- | --- | --- |
| 31.7 | 2.821 | 95 |
| 35.2 | 2.546 | 54 |
| 36.2 | 2.484 | 74 |
| 37.4 | 2.402 | 100 |
| 39.3 | 2.290 | 47 |
| 40.5 | 2.225 | 29 |
| 51.0 | 1.790 | 26 |
| 58.5 | 1.577 | 22 |
| 60.0 | 1.541 | 28 |
| 64.1 | 1.452 | 27 |

Atomic structure:
Lattice parameters (Å, degrees): 10.2420 10.2420 3.5809 90.00 90.00 90.00
Element x y z (fractional)
Nd (0.0000, 0.0000, 0.0000)
Nd (0.1786, 0.3214, 0.0000)
Nd (0.3214, 0.8214, 0.0000)
Nd (0.5000, 0.5000, 0.0000)
Nd (0.6786, 0.1786, 0.0000)
Nd (0.8214, 0.6786, 0.0000)
Be (0.1142, 0.6142, 0.0000)
Be (0.3858, 0.1142, 0.0000)
Be (0.6142, 0.8858, 0.0000)
Be (0.8858, 0.3858, 0.0000)
Pd (0.0000, 0.5000, 0.5000)
Pd (0.0698, 0.7677, 0.5000)
Pd (0.2323, 0.0698, 0.5000)
Pd (0.2677, 0.5698, 0.5000)
Pd (0.4302, 0.2677, 0.5000)
Pd (0.5000, 0.0000, 0.5000)
Pd (0.5698, 0.7323, 0.5000)
Pd (0.7323, 0.4302, 0.5000)
Pd (0.7677, 0.9302, 0.5000)
Pd (0.9302, 0.2323, 0.5000)

Starting from DFT lattice parameters and positions (PBE), the XRD peak list of Mg7Si4 was computed for Cu Kα X-rays.

Main lines, low angle first (5° ≤ 2θ ≤ 70°):
| two_theta | d_spacing | I_rel |
| --- | --- | --- |
| 16.9 | 5.243 | 27 |
| 33.3 | 2.691 | 46 |
| 33.4 | 2.680 | 28 |
| 34.0 | 2.637 | 39 |
| 34.1 | 2.626 | 67 |
| 34.2 | 2.622 | 71 |
| 36.4 | 2.470 | 30 |
| 36.9 | 2.433 | 51 |
| 38.2 | 2.356 | 100 |
| 40.7 | 2.216 | 68 |

Atomic structure:
Lattice parameters (Å, degrees): 5.4996 6.2364 13.5269 76.84 84.24 89.89
Element x y z (fractional)
Mg (0.0000, 0.0000, 0.0000)
Mg (0.0016, 0.5034, 0.9821)
Mg (0.2386, 0.5478, 0.4008)
Mg (0.2418, 0.0225, 0.4414)
Mg (0.3875, 0.9300, 0.6659)
Mg (0.4052, 0.4393, 0.6294)
Mg (0.5188, 0.2504, 0.9896)
Mg (0.5261, 0.7770, 0.9432)
Mg (0.5952, 0.1191, 0.2343)
Mg (0.7066, 0.2898, 0.4342)
Mg (0.7252, 0.7777, 0.4600)
Mg (0.7606, 0.6362, 0.1911)
Mg (0.8440, 0.1333, 0.7803)
Mg (0.8595, 0.6357, 0.7468)
Si (0.0394, 0.9090, 0.2759)
Si (0.0513, 0.2932, 0.2737)
Si (0.3264, 0.1521, 0.8231)
Si (0.3277, 0.4758, 0.1332)
Si (0.3365, 0.8614, 0.1390)
Si (0.3408, 0.5461, 0.8153)
Si (0.9000, 0.0162, 0.5963)
Si (0.9272, 0.4140, 0.5848)

Starting from DFT lattice parameters and positions (PBE), the XRD peak list of K10Te4S was computed for Cu Kα X-rays.

Main lines, low angle first (5° ≤ 2θ ≤ 70°):
| two_theta | d_spacing | I_rel |
| --- | --- | --- |
| 19.0 | 4.659 | 77 |
| 31.4 | 2.853 | 100 |
| 36.9 | 2.433 | 41 |
| 44.9 | 2.018 | 17 |
| 49.2 | 1.851 | 18 |
| 55.8 | 1.647 | 34 |
| 59.5 | 1.554 | 7 |
| 59.6 | 1.552 | 7 |
| 65.4 | 1.427 | 10 |
| 68.8 | 1.364 | 8 |

Atomic structure:
Lattice parameters (Å, degrees): 9.8807 9.8807 9.8807 99.62 99.62 131.73
Element x y z (fractional)
K (0.0471, 0.3327, 0.9050)
K (0.1421, 0.0471, 0.7143)
K (0.2500, 0.7500, 0.5000)
K (0.3327, 0.4278, 0.2857)
K (0.4278, 0.1421, 0.0950)
K (0.5722, 0.8579, 0.9050)
K (0.6673, 0.5722, 0.7143)
K (0.7500, 0.2500, 0.5000)
K (0.8579, 0.9529, 0.2857)
K (0.9529, 0.6673, 0.0950)
Te (0.2029, 0.3986, 0.6015)
Te (0.3986, 0.7971, 0.1957)
Te (0.6014, 0.2029, 0.8043)
Te (0.7971, 0.6014, 0.3985)
S (0.0000, 0.0000, 0.0000)